No. 1
This entry pairs a crystal structure of K2TaIn with its calculated XRD peak list. Radiation: copper Kα. Structure: a GGA-PBE-relaxed structure.
Kinematic intensities with the Lorentz-polarization factor, no thermal factor.

Cell lengths 5.175, 5.175, 9.881 Å; angles 92.57, 92.57, 34.61 degrees
Sites, in units of the cell vectors:
K (0.000, 0.000, 0.000)
K (0.235, 0.235, 0.602)
Ta (0.478, 0.478, 0.343)
In (0.742, 0.742, 0.247)

Most intense lines, 2θ from 5° to 70°, low angle first:
- 8.96°, I 100
- 17.97°, I 12
- 24.91°, I 10
- 31.91°, I 25
- 35.78°, I 11
- 40.88°, I 11

***

No. 2
This entry pairs a crystal structure of Rb4TeH12 with its calculated XRD peak list. Radiation: copper Kα. Structure: a GGA-PBE-relaxed structure.
Kinematic intensities with the Lorentz-polarization factor, no thermal factor.

Cell lengths 8.044, 8.044, 8.044 Å; angles 109.47, 109.47, 109.47 degrees
Sites, in units of the cell vectors:
Rb (0.000, 0.000, 0.500)
Rb (0.000, 0.500, 0.000)
Rb (0.500, 0.000, 0.000)
Rb (0.500, 0.500, 0.500)
Te (0.000, 0.000, 0.000)
H (0.132, 0.458, 0.590)
H (0.132, 0.542, 0.673)
H (0.327, 0.868, 0.458)
H (0.410, 0.868, 0.542)
H (0.458, 0.327, 0.868)
H (0.458, 0.590, 0.132)
H (0.542, 0.410, 0.868)
H (0.542, 0.673, 0.132)
H (0.590, 0.132, 0.458)
H (0.673, 0.132, 0.542)
H (0.868, 0.458, 0.327)
H (0.868, 0.542, 0.410)

Most intense lines, 2θ from 5° to 70°, low angle first:
- 13.48°, I 31
- 19.11°, I 23
- 23.46°, I 20
- 27.15°, I 100
- 38.78°, I 19
- 47.98°, I 39

***

No. 3
This entry pairs a crystal structure of TmAgP with its calculated XRD peak list. Radiation: copper Kα. Structure: a GGA-PBE-relaxed structure.
Kinematic intensities with the Lorentz-polarization factor, no thermal factor.

Cell lengths 5.438, 5.438, 6.969 Å; angles 117.38, 117.38, 40.99 degrees
Sites, in units of the cell vectors:
Tm (0.065, 0.065, 0.329)
Tm (0.935, 0.935, 0.671)
Ag (0.347, 0.347, 0.946)
Ag (0.653, 0.653, 0.054)
P (0.335, 0.335, 0.322)
P (0.665, 0.665, 0.678)

Most intense lines, 2θ from 5° to 70°, low angle first:
- 30.22°, I 46
- 31.89°, I 61
- 35.19°, I 100
- 35.42°, I 53
- 36.60°, I 44
- 38.51°, I 61

***

No. 4
This entry pairs a crystal structure of Pm8Sb2Ir3 with its calculated XRD peak list. Radiation: copper Kα. Structure: a GGA-PBE-relaxed structure.
Kinematic intensities with the Lorentz-polarization factor, no thermal factor.

Cell lengths 9.189, 9.189, 4.954 Å; angles 90.00, 90.00, 114.02 degrees
Sites, in units of the cell vectors:
Pm (0.109, 0.891, 0.000)
Pm (0.144, 0.366, 0.500)
Pm (0.366, 0.144, 0.500)
Pm (0.386, 0.614, 0.000)
Pm (0.614, 0.386, 0.000)
Pm (0.634, 0.856, 0.500)
Pm (0.856, 0.634, 0.500)
Pm (0.891, 0.109, 0.000)
Sb (0.243, 0.757, 0.500)
Sb (0.757, 0.243, 0.500)
Ir (0.250, 0.250, 0.000)
Ir (0.500, 0.500, 0.500)
Ir (0.750, 0.750, 0.000)

Most intense lines, 2θ from 5° to 70°, low angle first:
- 11.48°, I 25
- 34.51°, I 100
- 35.90°, I 24
- 36.27°, I 24
- 63.63°, I 17
- 64.11°, I 17

***

No. 5
This entry pairs a crystal structure of Ho4W with its calculated XRD peak list. Radiation: copper Kα. Structure: a GGA-PBE-relaxed structure.
Kinematic intensities with the Lorentz-polarization factor, no thermal factor.

Cell lengths 5.432, 5.432, 5.432 Å; angles 90.00, 90.00, 90.00 degrees
Sites, in units of the cell vectors:
Ho (0.000, 0.000, 0.000)
Ho (0.000, 0.500, 0.500)
Ho (0.500, 0.000, 0.500)
Ho (0.500, 0.500, 0.000)
W (0.500, 0.500, 0.500)

Most intense lines, 2θ from 5° to 70°, low angle first:
- 16.32°, I 26
- 28.46°, I 62
- 32.98°, I 100
- 47.33°, I 74
- 56.15°, I 28
- 58.89°, I 26

***

No. 6
This entry pairs a crystal structure of SrCl3F12 with its calculated XRD peak list. Radiation: copper Kα. Structure: a GGA-PBE-relaxed structure.
Kinematic intensities with the Lorentz-polarization factor, no thermal factor.

Cell lengths 8.703, 8.703, 8.703 Å; angles 80.09, 80.09, 80.09 degrees
Sites, in units of the cell vectors:
Sr (0.000, 0.000, 0.000)
Sr (0.500, 0.500, 0.500)
Cl (0.073, 0.433, 0.741)
Cl (0.241, 0.933, 0.573)
Cl (0.433, 0.741, 0.073)
Cl (0.573, 0.241, 0.933)
Cl (0.741, 0.073, 0.433)
Cl (0.933, 0.573, 0.241)
F (0.051, 0.601, 0.605)
F (0.100, 0.247, 0.889)
F (0.101, 0.551, 0.105)
F (0.105, 0.101, 0.551)
F (0.127, 0.870, 0.774)
F (0.247, 0.889, 0.100)
F (0.274, 0.370, 0.627)
F (0.345, 0.989, 0.392)
F (0.370, 0.627, 0.274)
F (0.389, 0.747, 0.600)
F (0.392, 0.345, 0.989)
F (0.489, 0.845, 0.892)
F (0.551, 0.105, 0.101)
F (0.600, 0.389, 0.747)
F (0.601, 0.605, 0.051)
F (0.605, 0.051, 0.601)
F (0.627, 0.274, 0.370)
F (0.747, 0.600, 0.389)
F (0.774, 0.127, 0.870)
F (0.845, 0.892, 0.489)
F (0.870, 0.774, 0.127)
F (0.889, 0.100, 0.247)
F (0.892, 0.489, 0.845)
F (0.989, 0.392, 0.345)

Most intense lines, 2θ from 5° to 70°, low angle first:
- 13.64°, I 50
- 20.95°, I 33
- 22.02°, I 100
- 22.32°, I 27
- 26.37°, I 40
- 34.71°, I 37

***

No. 7
This entry pairs a crystal structure of RbMnPdCl6 with its calculated XRD peak list. Radiation: copper Kα. Structure: a GGA-PBE-relaxed structure.
Kinematic intensities with the Lorentz-polarization factor, no thermal factor.

Cell lengths 6.057, 7.005, 7.477 Å; angles 89.63, 70.41, 75.01 degrees
Sites, in units of the cell vectors:
Rb (0.000, 0.000, 0.000)
Mn (0.705, 0.584, 0.569)
Pd (0.340, 0.347, 0.439)
Cl (0.337, 0.504, 0.716)
Cl (0.387, 0.180, 0.159)
Cl (0.635, 0.751, 0.843)
Cl (0.680, 0.462, 0.288)
Cl (0.938, 0.765, 0.401)
Cl (0.983, 0.263, 0.603)

Most intense lines, 2θ from 5° to 70°, low angle first:
- 17.42°, I 100
- 19.15°, I 30
- 23.52°, I 55
- 31.67°, I 29
- 34.21°, I 34
- 38.26°, I 32

***

No. 8
This entry pairs a crystal structure of Pm6ErTl5 with its calculated XRD peak list. Radiation: copper Kα. Structure: a GGA-PBE-relaxed structure.
Kinematic intensities with the Lorentz-polarization factor, no thermal factor.

Cell lengths 9.302, 9.302, 9.302 Å; angles 148.32, 121.72, 67.86 degrees
Sites, in units of the cell vectors:
Pm (0.068, 0.329, 0.739)
Pm (0.233, 0.000, 0.233)
Pm (0.410, 0.671, 0.739)
Pm (0.590, 0.329, 0.261)
Pm (0.767, 0.000, 0.767)
Pm (0.932, 0.671, 0.261)
Er (0.500, 0.500, 0.000)
Tl (0.000, 0.500, 0.500)
Tl (0.174, 0.174, 0.000)
Tl (0.351, 0.851, 0.500)
Tl (0.649, 0.149, 0.500)
Tl (0.826, 0.826, 0.000)

Most intense lines, 2θ from 5° to 70°, low angle first:
- 31.67°, I 100
- 34.88°, I 18
- 35.35°, I 19
- 39.81°, I 13
- 60.54°, I 13
- 61.17°, I 15

***

No. 9
This entry pairs a crystal structure of Na2SrAs2 with its calculated XRD peak list. Radiation: copper Kα. Structure: a GGA-PBE-relaxed structure.
Kinematic intensities with the Lorentz-polarization factor, no thermal factor.

Cell lengths 13.522, 13.522, 4.483 Å; angles 90.00, 90.00, 160.79 degrees
Sites, in units of the cell vectors:
Na (0.056, 0.944, 0.750)
Na (0.250, 0.750, 0.250)
Na (0.750, 0.250, 0.750)
Na (0.944, 0.056, 0.250)
Sr (0.357, 0.643, 0.750)
Sr (0.643, 0.357, 0.250)
As (0.172, 0.828, 0.750)
As (0.477, 0.523, 0.750)
As (0.523, 0.477, 0.250)
As (0.828, 0.172, 0.250)

Most intense lines, 2θ from 5° to 70°, low angle first:
- 19.97°, I 100
- 28.26°, I 100
- 29.84°, I 55
- 36.82°, I 85
- 39.96°, I 45
- 40.24°, I 44

***

No. 10
This entry pairs a crystal structure of Tb6S5 with its calculated XRD peak list. Radiation: copper Kα. Structure: a GGA-PBE-relaxed structure.
Kinematic intensities with the Lorentz-polarization factor, no thermal factor.

Cell lengths 6.747, 6.747, 6.760 Å; angles 99.64, 99.64, 119.69 degrees
Sites, in units of the cell vectors:
Tb (0.080, 0.418, 0.749)
Tb (0.248, 0.248, 0.257)
Tb (0.418, 0.080, 0.749)
Tb (0.582, 0.920, 0.251)
Tb (0.752, 0.752, 0.743)
Tb (0.920, 0.582, 0.251)
S (0.000, 0.000, 0.500)
S (0.166, 0.834, 0.000)
S (0.331, 0.669, 0.500)
S (0.669, 0.331, 0.500)
S (0.834, 0.166, 0.000)

Most intense lines, 2θ from 5° to 70°, low angle first:
- 27.92°, I 24
- 28.03°, I 70
- 32.45°, I 100
- 46.48°, I 36
- 46.58°, I 24
- 55.18°, I 19

***

No. 11
This entry pairs a crystal structure of Nd2NbWN5 with its calculated XRD peak list. Radiation: copper Kα. Structure: a GGA-PBE-relaxed structure.
Kinematic intensities with the Lorentz-polarization factor, no thermal factor.

Cell lengths 6.909, 6.909, 10.666 Å; angles 90.00, 90.00, 151.70 degrees
Sites, in units of the cell vectors:
Nd (0.107, 0.893, 0.500)
Nd (0.150, 0.850, 0.104)
Nd (0.850, 0.150, 0.604)
Nd (0.893, 0.107, 0.000)
Nb (0.221, 0.779, 0.824)
Nb (0.779, 0.221, 0.324)
W (0.473, 0.527, 0.269)
W (0.527, 0.473, 0.769)
N (0.048, 0.952, 0.856)
N (0.281, 0.719, 0.453)
N (0.323, 0.677, 0.192)
N (0.372, 0.628, 0.810)
N (0.488, 0.512, 0.597)
N (0.512, 0.488, 0.097)
N (0.628, 0.372, 0.310)
N (0.677, 0.323, 0.692)
N (0.719, 0.281, 0.953)
N (0.952, 0.048, 0.356)

Most intense lines, 2θ from 5° to 70°, low angle first:
- 28.42°, I 63
- 31.54°, I 73
- 32.06°, I 100
- 33.25°, I 67
- 34.33°, I 36
- 37.33°, I 56

***

No. 12
This entry pairs a crystal structure of RbNaSnSe2 with its calculated XRD peak list. Radiation: copper Kα. Structure: a GGA-PBE-relaxed structure.
Kinematic intensities with the Lorentz-polarization factor, no thermal factor.

Cell lengths 8.330, 8.330, 9.794 Å; angles 92.72, 92.72, 33.05 degrees
Sites, in units of the cell vectors:
Rb (0.168, 0.168, 0.176)
Rb (0.832, 0.832, 0.824)
Na (0.194, 0.194, 0.563)
Na (0.806, 0.806, 0.437)
Sn (0.439, 0.439, 0.285)
Sn (0.561, 0.561, 0.715)
Se (0.147, 0.147, 0.830)
Se (0.376, 0.376, 0.541)
Se (0.624, 0.624, 0.459)
Se (0.853, 0.853, 0.170)

Most intense lines, 2θ from 5° to 70°, low angle first:
- 21.45°, I 100
- 25.17°, I 99
- 27.08°, I 74
- 31.70°, I 87
- 33.61°, I 77
- 37.98°, I 87